Record 1
The following is a computed XRD peak list of Cs3Re2Cl10O. It was derived from a PBE-relaxed structure, using Cu Kα (λ = 1.5418 Å).

Top 10 peaks for 2θ = 10–90°, low angle first:
two_theta, I_rel
12.7, 718
16.5, 445
19.0, 467
19.3, 1000
23.4, 539
26.0, 339
27.7, 553
33.3, 816
36.6, 349
38.8, 331

Structure:
Cell lengths 10.387, 10.387, 10.387 Å; angles 137.02, 137.02, 62.40 degrees
Fractional positions:
Cs  0.000  0.000  0.000
Cs  0.250  0.750  0.500
Cs  0.750  0.250  0.500
Re  0.397  0.397  0.000
Re  0.603  0.603  0.000
Cl  0.170  0.170  0.559
Cl  0.170  0.610  0.000
Cl  0.262  0.262  0.000
Cl  0.390  0.390  0.559
Cl  0.390  0.830  0.000
Cl  0.610  0.170  0.000
Cl  0.610  0.610  0.441
Cl  0.738  0.738  0.000
Cl  0.830  0.390  0.000
Cl  0.830  0.830  0.441
O  0.500  0.500  0.000

=====

Record 2
The following is a computed XRD peak list of Ce2Mn3Cu9P7. It was derived from a PBE-relaxed structure, using Cu Kα (λ = 1.5418 Å).

Top 10 peaks for 2θ = 10–90°, low angle first:
two_theta, I_rel
32.7, 107
37.4, 1000
39.5, 97
44.1, 91
46.5, 140
47.8, 189
50.9, 165
54.3, 94
72.4, 111
82.1, 110

Structure:
Cell lengths 9.488, 9.488, 3.803 Å; angles 90.00, 90.00, 120.00 degrees
Fractional positions:
Ce  0.000  0.000  0.000
Ce  0.333  0.667  0.500
Mn  0.540  0.424  0.500
Mn  0.576  0.116  0.500
Mn  0.884  0.460  0.500
Cu  0.050  0.291  0.500
Cu  0.089  0.707  0.000
Cu  0.241  0.950  0.500
Cu  0.293  0.383  0.000
Cu  0.389  0.172  0.000
Cu  0.617  0.911  0.000
Cu  0.709  0.759  0.500
Cu  0.783  0.611  0.000
Cu  0.828  0.217  0.000
P  0.083  0.456  0.000
P  0.254  0.214  0.500
P  0.374  0.917  0.000
P  0.544  0.626  0.000
P  0.667  0.333  0.000
P  0.786  0.040  0.500
P  0.960  0.746  0.500

=====

Record 3
The following is a computed XRD peak list of SiAg3. It was derived from a PBE-relaxed structure, using Cu Kα (λ = 1.5418 Å).

Top 10 peaks for 2θ = 10–90°, low angle first:
two_theta, I_rel
29.0, 76
35.2, 286
36.6, 117
39.1, 231
40.5, 1000
53.6, 149
63.3, 166
71.7, 161
76.9, 176
77.8, 136

Structure:
Cell lengths 2.940, 2.940, 9.222 Å; angles 90.00, 90.00, 120.00 degrees
Fractional positions:
Si  0.000  0.000  0.000
Ag  0.000  0.000  0.500
Ag  0.333  0.667  0.238
Ag  0.333  0.667  0.762

=====

Record 4
The following is a computed XRD peak list of Ti3Cr9Si4. It was derived from a PBE-relaxed structure, using Cu Kα (λ = 1.5418 Å).

Top 10 peaks for 2θ = 10–90°, low angle first:
two_theta, I_rel
38.8, 135
39.0, 145
39.1, 154
43.7, 1000
43.9, 677
44.0, 340
48.2, 628
48.3, 267
70.6, 199
77.4, 139

Structure:
Cell lengths 4.621, 4.638, 9.205 Å; angles 90.00, 90.01, 90.00 degrees
Fractional positions:
Ti  0.000  0.000  0.000
Ti  0.004  0.000  0.504
Ti  0.255  0.500  0.129
Cr  0.001  0.000  0.255
Cr  0.004  0.000  0.751
Cr  0.259  0.500  0.628
Cr  0.504  0.253  0.380
Cr  0.504  0.253  0.875
Cr  0.504  0.747  0.380
Cr  0.504  0.747  0.875
Cr  0.748  0.500  0.628
Cr  0.751  0.500  0.128
Si  0.001  0.500  0.379
Si  0.002  0.500  0.872
Si  0.503  0.000  0.630
Si  0.507  0.000  0.130

=====

Record 5
The following is a computed XRD peak list of Hf3Se. It was derived from a PBE-relaxed structure, using Cu Kα (λ = 1.5418 Å).

Top 10 peaks for 2θ = 10–90°, low angle first:
two_theta, I_rel
20.5, 74
29.1, 64
35.9, 1000
41.6, 497
46.8, 37
51.6, 28
60.3, 335
64.4, 18
72.2, 394
76.0, 114

Structure:
Cell lengths 4.338, 4.338, 4.338 Å; angles 90.00, 90.00, 90.00 degrees
Fractional positions:
Hf  0.000  0.000  0.500
Hf  0.000  0.500  0.000
Hf  0.500  0.000  0.000
Se  0.500  0.500  0.500

=====

Record 6
The following is a computed XRD peak list of LaAsRh. It was derived from a PBE-relaxed structure, using Cu Kα (λ = 1.5418 Å).

Top 10 peaks for 2θ = 10–90°, low angle first:
two_theta, I_rel
27.6, 270
32.3, 1000
36.6, 576
42.9, 436
47.3, 298
57.6, 304
62.3, 142
65.8, 208
69.8, 98
71.9, 193

Structure:
Cell lengths 8.118, 8.118, 8.118 Å; angles 149.89, 149.89, 43.10 degrees
Fractional positions:
La  0.000  0.000  0.000
La  0.750  0.250  0.500
As  0.330  0.830  0.500
As  0.580  0.580  0.000
Rh  0.165  0.665  0.500
Rh  0.415  0.415  0.000

=====

Record 7
The following is a computed XRD peak list of La2Nb2N2O5. It was derived from a PBE-relaxed structure, using Cu Kα (λ = 1.5418 Å).

Top 10 peaks for 2θ = 10–90°, low angle first:
two_theta, I_rel
26.7, 435
27.2, 279
28.9, 1000
31.0, 319
31.4, 433
31.9, 720
41.7, 255
44.8, 335
55.7, 225
56.2, 228

Structure:
Cell lengths 13.514, 13.514, 5.699 Å; angles 90.00, 90.00, 162.78 degrees
Fractional positions:
La  0.053  0.947  0.500
La  0.205  0.795  0.074
La  0.795  0.205  0.574
La  0.947  0.053  0.000
Nb  0.338  0.662  0.027
Nb  0.442  0.558  0.501
Nb  0.558  0.442  0.001
Nb  0.662  0.338  0.527
N  0.046  0.954  0.964
N  0.154  0.846  0.482
N  0.846  0.154  0.982
N  0.954  0.046  0.464
O  0.280  0.720  0.806
O  0.296  0.704  0.304
O  0.382  0.618  0.682
O  0.410  0.590  0.170
O  0.486  0.514  0.788
O  0.514  0.486  0.288
O  0.590  0.410  0.670
O  0.618  0.382  0.182
O  0.704  0.296  0.804
O  0.720  0.280  0.306

=====

Record 8
The following is a computed XRD peak list of TbS2. It was derived from a PBE-relaxed structure, using Cu Kα (λ = 1.5418 Å).

Top 10 peaks for 2θ = 10–90°, low angle first:
two_theta, I_rel
22.2, 290
25.6, 1000
32.7, 390
34.6, 169
39.9, 630
41.1, 438
47.0, 279
54.2, 268
64.1, 233
82.4, 153

Structure:
Cell lengths 3.870, 3.870, 8.004 Å; angles 90.00, 90.00, 90.00 degrees
Fractional positions:
Tb  0.250  0.250  0.226
Tb  0.750  0.750  0.774
S  0.250  0.250  0.868
S  0.250  0.750  0.500
S  0.750  0.250  0.500
S  0.750  0.750  0.132

=====

Record 9
The following is a computed XRD peak list of K3Mn. It was derived from a PBE-relaxed structure, using Cu Kα (λ = 1.5418 Å).

Top 10 peaks for 2θ = 10–90°, low angle first:
two_theta, I_rel
16.7, 15
27.5, 1000
32.3, 9
39.2, 177
48.6, 358
56.7, 107
64.1, 141
71.1, 33
77.8, 152
84.4, 15

Structure:
Cell lengths 6.494, 6.494, 6.494 Å; angles 60.00, 60.00, 60.00 degrees
Fractional positions:
K  0.000  0.000  0.000
K  0.250  0.250  0.250
K  0.750  0.750  0.750
Mn  0.500  0.500  0.500

=====

Record 10
The following is a computed XRD peak list of S2O5F2. It was derived from a PBE-relaxed structure, using Cu Kα (λ = 1.5418 Å).

Top 10 peaks for 2θ = 10–90°, low angle first:
two_theta, I_rel
16.1, 478
21.6, 1000
24.5, 306
24.6, 166
25.5, 452
27.2, 174
35.8, 140
37.6, 178
41.1, 121
45.6, 94

Structure:
Cell lengths 7.802, 7.802, 9.674 Å; angles 90.00, 90.00, 90.00 degrees
Fractional positions:
S  0.076  0.330  0.364
S  0.170  0.424  0.864
S  0.330  0.924  0.636
S  0.424  0.830  0.136
S  0.576  0.170  0.136
S  0.670  0.076  0.636
S  0.830  0.576  0.864
S  0.924  0.670  0.364
O  0.000  0.500  0.284
O  0.000  0.500  0.784
O  0.021  0.705  0.484
O  0.110  0.212  0.256
O  0.205  0.521  0.984
O  0.212  0.890  0.744
O  0.288  0.390  0.756
O  0.295  0.021  0.516
O  0.390  0.712  0.244
O  0.479  0.205  0.016
O  0.500  0.000  0.216
O  0.500  0.000  0.716
O  0.521  0.795  0.016
O  0.610  0.288  0.244
O  0.705  0.979  0.516
O  0.712  0.610  0.756
O  0.788  0.110  0.744
O  0.795  0.479  0.984
O  0.890  0.788  0.256
O  0.979  0.295  0.484
F  0.092  0.248  0.912
F  0.248  0.908  0.088
F  0.252  0.408  0.412
F  0.408  0.748  0.588
F  0.592  0.252  0.588
F  0.748  0.592  0.412
F  0.752  0.092  0.088
F  0.908  0.752  0.912